# 1
The following is a theoretical powder diffractogram of Cd4InHg15. It was derived from a cell relaxed with PBE, using Cu Ka.
Peak positions follow from Bragg's law for the DFT cell and can differ from measured ones.

Most intense lines, 2θ from 10° to 90°, sorted by position:
2θ = 32.45°, intensity 60; 2θ = 34.77°, intensity 100; 2θ = 46.56°, intensity 22; 2θ = 53.26°, intensity 7; 2θ = 59.40°, intensity 43; 2θ = 63.77°, intensity 17; 2θ = 73.39°, intensity 12; 2θ = 77.34°, intensity 10; 2θ = 78.65°, intensity 10; 2θ = 88.99°, intensity 7

Atomic structure:
Lattice parameters (Å, degrees): 5.5176 5.5176 17.1980 90.00 90.00 90.00
Fractional coordinates of all 20 atoms:
Cd: 0.0000 0.0000 0.0979
Cd: 0.0000 0.0000 0.2944
Cd: 0.0000 0.0000 0.7056
Cd: 0.0000 0.0000 0.9021
In: 0.0000 0.0000 0.5000
Hg: 0.0000 0.5000 0.0000
Hg: 0.0000 0.5000 0.1985
Hg: 0.0000 0.5000 0.3969
Hg: 0.0000 0.5000 0.6031
Hg: 0.0000 0.5000 0.8015
Hg: 0.5000 0.0000 0.0000
Hg: 0.5000 0.0000 0.1985
Hg: 0.5000 0.0000 0.3969
Hg: 0.5000 0.0000 0.6031
Hg: 0.5000 0.0000 0.8015
Hg: 0.5000 0.5000 0.1000
Hg: 0.5000 0.5000 0.2999
Hg: 0.5000 0.5000 0.5000
Hg: 0.5000 0.5000 0.7001
Hg: 0.5000 0.5000 0.9000



# 2
The following is a theoretical powder diffractogram of Cd3In2Hg9. It was derived from a cell relaxed with PBE, using Cu Ka.
Peak positions follow from Bragg's law for the DFT cell and can differ from measured ones.

Most intense lines, 2θ from 10° to 90°, sorted by position:
2θ = 26.55°, intensity 24; 2θ = 28.69°, intensity 32; 2θ = 29.73°, intensity 34; 2θ = 32.40°, intensity 58; 2θ = 34.44°, intensity 61; 2θ = 35.80°, intensity 32; 2θ = 36.39°, intensity 100; 2θ = 39.47°, intensity 25; 2θ = 58.54°, intensity 29; 2θ = 60.40°, intensity 25

Atomic structure:
Lattice parameters (Å, degrees): 8.1101 8.1101 13.4277 90.00 90.00 120.00
Fractional coordinates of all 28 atoms:
Cd: 0.0497 0.2355 0.2500
Cd: 0.1858 0.9503 0.2500
Cd: 0.2355 0.1858 0.7500
Cd: 0.7645 0.8142 0.2500
Cd: 0.8142 0.0497 0.7500
Cd: 0.9503 0.7645 0.7500
In: 0.3333 0.6667 0.1266
In: 0.3333 0.6667 0.3734
In: 0.6667 0.3333 0.6266
In: 0.6667 0.3333 0.8734
Hg: 0.0765 0.4700 0.7500
Hg: 0.1280 0.7446 0.5508
Hg: 0.1280 0.7446 0.9492
Hg: 0.2554 0.3834 0.5508
Hg: 0.2554 0.3834 0.9492
Hg: 0.3834 0.1280 0.0508
Hg: 0.3834 0.1280 0.4492
Hg: 0.3935 0.9235 0.7500
Hg: 0.4700 0.3935 0.2500
Hg: 0.5300 0.6065 0.7500
Hg: 0.6065 0.0765 0.2500
Hg: 0.6166 0.8720 0.5508
Hg: 0.6166 0.8720 0.9492
Hg: 0.7446 0.6166 0.0508
Hg: 0.7446 0.6166 0.4492
Hg: 0.8720 0.2554 0.0508
Hg: 0.8720 0.2554 0.4492
Hg: 0.9235 0.5300 0.2500



# 3
The following is a theoretical powder diffractogram of Cd4In6Hg. It was derived from a cell relaxed with PBE, using Cu Ka.
Peak positions follow from Bragg's law for the DFT cell and can differ from measured ones.

Most intense lines, 2θ from 10° to 90°, sorted by position:
2θ = 24.56°, intensity 53; 2θ = 27.67°, intensity 23; 2θ = 29.67°, intensity 26; 2θ = 30.19°, intensity 25; 2θ = 32.77°, intensity 44; 2θ = 33.24°, intensity 43; 2θ = 36.70°, intensity 46; 2θ = 37.13°, intensity 45; 2θ = 38.92°, intensity 100; 2θ = 39.17°, intensity 46

Atomic structure:
Lattice parameters (Å, degrees): 14.9476 14.9332 4.6288 81.26 80.91 17.82
Fractional coordinates of all 11 atoms:
Cd: 0.0475 0.0475 0.9525
Cd: 0.3163 0.3163 0.6837
Cd: 0.6837 0.6837 0.3163
Cd: 0.9525 0.9525 0.0475
In: 0.1164 0.1164 0.3836
In: 0.2500 0.2500 0.2500
In: 0.3836 0.3836 0.1164
In: 0.6164 0.6164 0.8836
In: 0.7500 0.7500 0.7500
In: 0.8836 0.8836 0.6164
Hg: 0.5000 0.5000 0.5000



# 4
The following is a theoretical powder diffractogram of Cd2InHg4. It was derived from a cell relaxed with PBE, using Cu Ka.
Peak positions follow from Bragg's law for the DFT cell and can differ from measured ones.

Most intense lines, 2θ from 10° to 90°, sorted by position:
2θ = 31.12°, intensity 70; 2θ = 31.23°, intensity 50; 2θ = 31.59°, intensity 100; 2θ = 33.69°, intensity 26; 2θ = 34.59°, intensity 35; 2θ = 35.97°, intensity 31; 2θ = 38.89°, intensity 29; 2θ = 39.90°, intensity 36; 2θ = 43.87°, intensity 24; 2θ = 46.01°, intensity 38

Atomic structure:
Lattice parameters (Å, degrees): 6.4707 6.4146 8.9629 90.00 100.52 90.00
Fractional coordinates of all 14 atoms:
Cd: 0.0015 0.2500 0.4991
Cd: 0.2453 0.2500 0.9702
Cd: 0.7547 0.7500 0.0298
Cd: 0.9985 0.7500 0.5009
In: 0.2799 0.7500 0.9593
In: 0.7201 0.2500 0.0407
Hg: 0.1134 0.5021 0.2356
Hg: 0.1134 0.9979 0.2356
Hg: 0.4389 0.2500 0.6777
Hg: 0.4520 0.7500 0.6484
Hg: 0.5480 0.2500 0.3516
Hg: 0.5611 0.7500 0.3223
Hg: 0.8866 0.0021 0.7644
Hg: 0.8866 0.4979 0.7644



# 5
The following is a theoretical powder diffractogram of KCdIn2Hg. It was derived from a cell relaxed with PBE, using Cu Ka.
Peak positions follow from Bragg's law for the DFT cell and can differ from measured ones.

Most intense lines, 2θ from 10° to 90°, sorted by position:
2θ = 13.82°, intensity 32; 2θ = 19.54°, intensity 93; 2θ = 27.81°, intensity 46; 2θ = 29.50°, intensity 94; 2θ = 36.92°, intensity 40; 2θ = 37.10°, intensity 39; 2θ = 38.42°, intensity 100; 2θ = 39.76°, intensity 47; 2θ = 42.28°, intensity 23; 2θ = 53.34°, intensity 27

Atomic structure:
Lattice parameters (Å, degrees): 7.2671 7.2671 4.8696 109.49 109.49 38.96
Fractional coordinates of all 5 atoms:
K: 0.0000 0.0000 0.0000
Cd: 0.2473 0.2473 0.7479
In: 0.3810 0.3810 0.3809
In: 0.7425 0.7425 0.2424
Hg: 0.6058 0.6058 0.6062



# 6
The following is a theoretical powder diffractogram of Li2CdIn3Hg3. It was derived from a cell relaxed with PBE, using Cu Ka.
Peak positions follow from Bragg's law for the DFT cell and can differ from measured ones.

Most intense lines, 2θ from 10° to 90°, sorted by position:
2θ = 20.72°, intensity 39; 2θ = 23.97°, intensity 14; 2θ = 31.89°, intensity 22; 2θ = 34.24°, intensity 100; 2θ = 36.32°, intensity 82; 2θ = 50.75°, intensity 23; 2θ = 61.20°, intensity 18; 2θ = 63.98°, intensity 12; 2θ = 68.21°, intensity 18; 2θ = 69.37°, intensity 12

Atomic structure:
Lattice parameters (Å, degrees): 8.5743 8.5743 3.3071 90.00 90.00 120.00
Fractional coordinates of all 9 atoms:
Li: 0.3333 0.6667 0.0000
Li: 0.6667 0.3333 0.0000
Cd: 0.0000 0.0000 0.5000
In: 0.0000 0.6978 0.0000
In: 0.3022 0.3022 0.0000
In: 0.6978 0.0000 0.0000
Hg: 0.0000 0.3787 0.5000
Hg: 0.3787 0.0000 0.5000
Hg: 0.6213 0.6213 0.5000



# 7
The following is a theoretical powder diffractogram of Li2Cd2In4Hg. It was derived from a cell relaxed with PBE, using Cu Ka.
Peak positions follow from Bragg's law for the DFT cell and can differ from measured ones.

Most intense lines, 2θ from 10° to 90°, sorted by position:
2θ = 30.91°, intensity 51; 2θ = 31.18°, intensity 39; 2θ = 33.31°, intensity 29; 2θ = 35.07°, intensity 67; 2θ = 36.89°, intensity 36; 2θ = 37.23°, intensity 100; 2θ = 39.74°, intensity 23; 2θ = 48.87°, intensity 24; 2θ = 54.98°, intensity 39; 2θ = 68.06°, intensity 55

Atomic structure:
Lattice parameters (Å, degrees): 3.3405 3.3405 21.9295 90.00 90.00 120.00
Fractional coordinates of all 9 atoms:
Li: 0.0000 0.0000 0.0000
Li: 0.3333 0.6667 0.3273
Cd: 0.0000 0.0000 0.5597
Cd: 0.0000 0.0000 0.7801
In: 0.0000 0.0000 0.2240
In: 0.0000 0.0000 0.4291
In: 0.3333 0.6667 0.1032
In: 0.3333 0.6667 0.8961
Hg: 0.3333 0.6667 0.6696



# 8
The following is a theoretical powder diffractogram of LiCd4In2Hg2. It was derived from a cell relaxed with PBE, using Cu Ka.
Peak positions follow from Bragg's law for the DFT cell and can differ from measured ones.

Most intense lines, 2θ from 10° to 90°, sorted by position:
2θ = 30.85°, intensity 52; 2θ = 31.93°, intensity 18; 2θ = 34.99°, intensity 78; 2θ = 36.75°, intensity 35; 2θ = 37.14°, intensity 100; 2θ = 48.71°, intensity 26; 2θ = 54.86°, intensity 35; 2θ = 66.74°, intensity 12; 2θ = 67.84°, intensity 55; 2θ = 68.11°, intensity 17

Atomic structure:
Lattice parameters (Å, degrees): 3.3472 3.3472 22.0106 90.00 90.00 120.00
Fractional coordinates of all 9 atoms:
Li: 0.0000 0.0000 0.0000
Cd: 0.0000 0.0000 0.2197
Cd: 0.0000 0.0000 0.4382
Cd: 0.6667 0.3333 0.5487
Cd: 0.6667 0.3333 0.7692
In: 0.6667 0.3333 0.1045
In: 0.6667 0.3333 0.8991
Hg: 0.0000 0.0000 0.6585
Hg: 0.6667 0.3333 0.3297